The following is a computed powder diffractogram of Pm2MgSn3. It was derived from DFT lattice parameters and positions (PBE), using Cu Kα X-rays.
Peak positions follow from Bragg's law for the DFT cell and can differ from measured ones.

Most intense lines, 2θ from 10° to 90°, most intense first:
35.7 deg, I 100.0; 30.3 deg, I 65.4; 40.5 deg, I 59.4; 28.4 deg, I 49.7; 52.6 deg, I 45.6; 32.1 deg, I 43.7; 70.6 deg, I 28.4; 62.9 deg, I 23.4; 58.7 deg, I 20.3; 43.3 deg, I 20.2

Crystal structure
a = 4.451 Å, b = 4.451 Å, c = 8.370 Å
α = 90.00°, β = 90.00°, γ = 90.00°
Atoms (fractional coordinates):
1 Pm 0.000 0.500 0.173
2 Pm 0.500 0.000 0.827
3 Mg 0.000 0.000 0.500
4 Sn 0.000 0.500 0.790
5 Sn 0.500 0.000 0.210
6 Sn 0.500 0.500 0.500